This entry pairs a crystal structure of LiMn3Al2H6O12 with its simulated powder XRD pattern. Radiation: Cu Kα (λ = 1.5418 Å). Structure: a crystal structure in Alexandria, relaxed with PBE+U.
Neutral-atom scattering factors, no anomalous dispersion.

Main lines, sorted by position (10 to 80 degrees two-theta):
18.61°, rel. 100; 36.56°, rel. 21; 37.35°, rel. 36; 46.88°, rel. 16; 47.79°, rel. 32; 57.52°, rel. 9; 61.94°, rel. 6; 62.14°, rel. 6

Crystal structure
Unit cell a=5.885 b=7.960 c=10.148 alpha=97.16 beta=106.82 gamma=100.84
Space group P-1 (No. 2)
One atom of each set of equivalent atoms:
Li1 0.158 0.155 0.001 x2
Mn1 0.000 0.500 0.500 x1
Mn2 0.171 0.165 0.509 x2
Mn3 0.329 0.835 0.490 x2
Mn4 0.500 0.500 0.500 x1
Al1 0.000 0.500 0.000 x1
Al2 0.332 0.840 0.001 x2
Al3 0.500 0.500 0.000 x1
H1 0.043 0.331 0.204 x2
H2 0.108 0.344 0.797 x2
H3 0.249 0.983 0.209 x2
H4 0.284 0.996 0.791 x2
H5 0.397 0.665 0.211 x2
H6 0.431 0.676 0.801 x2
O1 0.004 0.280 0.617 x2
O2 0.014 0.689 0.898 x2
O3 0.165 0.962 0.600 x2
O4 0.167 0.354 0.407 x2
O5 0.171 0.384 0.901 x2
O6 0.186 0.953 0.107 x2
O7 0.333 0.646 0.593 x2
O8 0.336 0.039 0.401 x2
O9 0.338 0.631 0.106 x2
O10 0.344 0.019 0.894 x2
O11 0.483 0.692 0.903 x2
O12 0.496 0.720 0.382 x2